# 1
Structure and theoretical powder X-ray diffraction pattern of Sc3Cd7Ag (DFT lattice parameters and positions (PBE); Cu Kα).
Intensities are scaled so that the largest is 100.

Top 10 peaks for 2θ = 10–80°, sorted by position:
- d = 3.296 Å, intensity 39.9
- d = 2.777 Å, intensity 22.9
- d = 2.631 Å, intensity 66.8
- d = 2.513 Å, intensity 31.2
- d = 2.444 Å, intensity 100.0
- d = 2.369 Å, intensity 23.3
- d = 2.323 Å, intensity 23.9
- d = 2.182 Å, intensity 35.2
- d = 2.082 Å, intensity 34.8
- d = 1.376 Å, intensity 30.0

Cell and atoms:
```
Sc3Cd7Ag
1.0
1.6645 -11.7978 0.0000
1.6645 11.7978 0.0000
0.0000 0.0000 13.0985
Sc Cd Ag
6 14 2
Direct
0.1489 0.8511 0.5684
0.1489 0.8511 0.9316
0.2705 0.7295 0.2500
0.7295 0.2705 0.7500
0.8511 0.1489 0.0684
0.8511 0.1489 0.4316
0.2787 0.7213 0.5821
0.2787 0.7213 0.9179
0.3914 0.6086 0.2500
0.4003 0.5997 0.6255
0.4003 0.5997 0.8745
0.4658 0.5342 0.0857
0.4658 0.5342 0.4143
0.5342 0.4658 0.5857
0.5342 0.4658 0.9143
0.5997 0.4003 0.1255
0.5997 0.4003 0.3745
0.6086 0.3914 0.7500
0.7213 0.2787 0.0821
0.7213 0.2787 0.4179
0.0207 0.9793 0.2500
0.9793 0.0207 0.7500
```

# 2
Structure and theoretical powder X-ray diffraction pattern of Ac2CdGe3Rh4 (DFT lattice parameters and positions (PBE); Cu Kα).
Intensities are scaled so that the largest is 100.

Top 10 peaks for 2θ = 10–80°, sorted by position:
- d = 3.054 Å, intensity 14.2
- d = 2.782 Å, intensity 53.9
- d = 2.665 Å, intensity 100.0
- d = 2.160 Å, intensity 49.3
- d = 1.948 Å, intensity 27.2
- d = 1.706 Å, intensity 25.7
- d = 1.563 Å, intensity 12.1
- d = 1.527 Å, intensity 16.3
- d = 1.446 Å, intensity 20.8
- d = 1.325 Å, intensity 22.8

Cell and atoms:
```
Ac2CdGe3Rh4
1.0
4.3195 0.0000 0.0000
0.0000 4.3195 0.0000
0.0000 0.0000 10.9111
Ac Cd Ge Rh
2 1 3 4
Direct
0.0000 0.5000 0.2480
0.5000 0.0000 0.7520
0.0000 0.0000 0.5000
0.0000 0.5000 0.8808
0.5000 0.0000 0.1192
0.5000 0.5000 0.5000
0.0000 0.0000 0.0000
0.0000 0.5000 0.6505
0.5000 0.0000 0.3495
0.5000 0.5000 0.0000
```

Copy entry 2 word for word.
Structure and theoretical powder X-ray diffraction pattern of Ac2CdGe3Rh4 (DFT lattice parameters and positions (PBE); Cu Kα).
Intensities are scaled so that the largest is 100.

Top 10 peaks for 2θ = 10–80°, sorted by position:
- d = 3.054 Å, intensity 14.2
- d = 2.782 Å, intensity 53.9
- d = 2.665 Å, intensity 100.0
- d = 2.160 Å, intensity 49.3
- d = 1.948 Å, intensity 27.2
- d = 1.706 Å, intensity 25.7
- d = 1.563 Å, intensity 12.1
- d = 1.527 Å, intensity 16.3
- d = 1.446 Å, intensity 20.8
- d = 1.325 Å, intensity 22.8

Cell and atoms:
```
Ac2CdGe3Rh4
1.0
4.3195 0.0000 0.0000
0.0000 4.3195 0.0000
0.0000 0.0000 10.9111
Ac Cd Ge Rh
2 1 3 4
Direct
0.0000 0.5000 0.2480
0.5000 0.0000 0.7520
0.0000 0.0000 0.5000
0.0000 0.5000 0.8808
0.5000 0.0000 0.1192
0.5000 0.5000 0.5000
0.0000 0.0000 0.0000
0.0000 0.5000 0.6505
0.5000 0.0000 0.3495
0.5000 0.5000 0.0000
```

Question: Which formula does entry 1 have?
Answer: Sc3Cd7Ag